# 1
Computed powder XRD pattern
Compound: Al5Fe3O12
Radiation: a wavelength of 1.5418 Å
Structure: a PBE+U-relaxed structure

Crystal structure
```
data_Al5Fe3O12
_chemical_formula_sum 'Al20 Fe12 O48'
_symmetry_space_group_name_H-M 'C 1 2/m 1'
_symmetry_Int_Tables_number 12
_cell_length_a 10.0085
_cell_length_b 5.7732
_cell_length_c 14.0908
_cell_angle_alpha 90.00
_cell_angle_beta 90.09
_cell_angle_gamma 90.00
loop_
_symmetry_equiv_pos_as_xyz
'x,y,z'
'-x,-y,-z'
'-x,y,-z'
'x,-y,z'
'x+1/2,y+1/2,z'
'-x+1/2,-y+1/2,-z'
'-x+1/2,y+1/2,-z'
'x+1/2,-y+1/2,z'
loop_
_atom_site_label
_atom_site_fract_x
_atom_site_fract_y
_atom_site_fract_z
Al1 0.0821 0.2463 0.3370
Al2 0.1602 0.5000 0.1621
Al3 0.1643 0.0000 0.6634
Al4 0.2500 0.2500 0.0000
Fe1 0.0049 0.0000 0.1220
Fe2 0.1662 0.5000 0.5465
Fe3 0.1702 0.5000 0.7932
O1 0.0001 0.0000 0.2610
O2 0.0172 0.5000 0.2521
O3 0.0803 0.2417 0.5990
O4 0.1027 0.2591 0.0857
O5 0.1615 0.0000 0.4010
O6 0.1660 0.5000 0.4056
O7 0.1785 0.5000 0.9242
O8 0.1814 0.0000 0.9210
O9 0.2409 0.2807 0.2537
```

Peak list (10 most intense, 15° ≤ 2θ ≤ 90°, in order of rising 2θ)
hkl 1 1 -1, 18.83 deg, rel. 16; hkl 3 1 0, 31.00 deg, rel. 77; hkl 2 0 4, 31.07 deg, rel. 21; hkl 4 0 -1, 36.51 deg, rel. 100; hkl 2 0 -5, 36.60 deg, rel. 33; hkl 4 2 -4, 55.11 deg, rel. 19; hkl 6 0 -3, 58.76 deg, rel. 22; hkl 4 2 5, 58.87 deg, rel. 29; hkl 0 4 0, 64.54 deg, rel. 34; hkl 2 2 -8, 64.71 deg, rel. 22

---

# 2
Computed powder XRD pattern
Compound: VCdO3
Radiation: a wavelength of 1.5418 Å
Structure: a PBE+U-relaxed structure

Crystal structure
```
data_VCdO3
_chemical_formula_sum 'V4 Cd4 O12'
_symmetry_space_group_name_H-M 'P n m a'
_symmetry_Int_Tables_number 62
_cell_length_a 14.5803
_cell_length_b 3.6451
_cell_length_c 5.3289
_cell_angle_alpha 90.00
_cell_angle_beta 90.00
_cell_angle_gamma 90.00
loop_
_symmetry_equiv_pos_as_xyz
'x,y,z'
'-x,-y,-z'
'-x+1/2,-y,z+1/2'
'x+1/2,y,-z+1/2'
'x+1/2,-y+1/2,-z+1/2'
'-x+1/2,y+1/2,z+1/2'
'-x,y+1/2,-z'
'x,-y+1/2,z'
loop_
_atom_site_label
_atom_site_fract_x
_atom_site_fract_y
_atom_site_fract_z
V1 0.0809 0.2500 0.0823
Cd1 0.1805 0.7500 0.6300
O1 0.0558 0.7500 0.9611
O2 0.1107 0.2500 0.3927
O3 0.1927 0.2500 0.8901
```

Peak list (10 most intense, 15° ≤ 2θ ≤ 90°, in order of rising 2θ)
hkl 3 0 1, 24.79 deg, rel. 40; hkl 4 0 1, 29.69 deg, rel. 100; hkl 1 1 1, 30.33 deg, rel. 60; hkl 1 0 2, 34.21 deg, rel. 24; hkl 4 1 0, 34.81 deg, rel. 43; hkl 3 1 2, 46.15 deg, rel. 43; hkl 0 2 0, 50.05 deg, rel. 29; hkl 5 1 2, 52.89 deg, rel. 24; hkl 0 1 3, 57.74 deg, rel. 18; hkl 4 2 1, 59.28 deg, rel. 19

---

# 3
Computed powder XRD pattern
Compound: V2PbO6
Radiation: a wavelength of 1.5418 Å
Structure: a PBE+U-relaxed structure

Crystal structure
```
data_V2PbO6
_chemical_formula_sum 'V8 Pb4 O24'
_symmetry_space_group_name_H-M 'C 1 2/m 1'
_symmetry_Int_Tables_number 12
_cell_length_a 16.2548
_cell_length_b 3.7144
_cell_length_c 9.6727
_cell_angle_alpha 90.00
_cell_angle_beta 108.94
_cell_angle_gamma 90.00
loop_
_symmetry_equiv_pos_as_xyz
'x,y,z'
'-x,-y,-z'
'-x,y,-z'
'x,-y,z'
'x+1/2,y+1/2,z'
'-x+1/2,-y+1/2,-z'
'-x+1/2,y+1/2,-z'
'x+1/2,-y+1/2,z'
loop_
_atom_site_label
_atom_site_fract_x
_atom_site_fract_y
_atom_site_fract_z
V1 0.0981 0.0000 0.3418
V2 0.1649 0.5000 0.1388
Pb1 0.1248 0.5000 0.7278
O1 0.0112 0.0000 0.6823
O2 0.1020 0.5000 0.9641
O3 0.1075 0.5000 0.2926
O4 0.1519 0.0000 0.5207
O5 0.1624 0.0000 0.1957
O6 0.2280 0.0000 0.8522
```

Peak list (10 most intense, 15° ≤ 2θ ≤ 90°, in order of rising 2θ)
hkl 0 0 2, 19.40 deg, rel. 99; hkl 4 0 0, 23.14 deg, rel. 100; hkl 1 1 1, 27.24 deg, rel. 42; hkl 2 0 -3, 27.75 deg, rel. 53; hkl 3 1 -1, 29.44 deg, rel. 54; hkl 3 1 0, 29.71 deg, rel. 36; hkl 3 1 -2, 32.36 deg, rel. 42; hkl 1 1 2, 32.75 deg, rel. 46; hkl 6 0 -1, 33.09 deg, rel. 38; hkl 4 0 2, 35.03 deg, rel. 34